# Re2SeCl12
Theoretical PXRD pattern, Cu Kα (λ = 1.5418 Å). Input: a DFT-relaxed cell (PBE, OQMD).

Structural model:
Cell: 8.433 10.812 8.819 Å, 90.00 92.99 90.00°
Element x y z (fractional)
Re1 0.135 0.250 0.389
Re2 0.359 0.250 0.623
Re3 0.641 0.750 0.377
Re4 0.865 0.750 0.611
Se1 0.338 0.750 0.075
Se2 0.662 0.250 0.925
Cl1 0.089 0.750 0.131
Cl2 0.114 0.097 0.209
Cl3 0.114 0.403 0.209
Cl4 0.131 0.750 0.575
Cl5 0.167 0.090 0.584
Cl6 0.167 0.410 0.584
Cl7 0.313 0.250 0.883
Cl8 0.331 0.595 0.914
Cl9 0.331 0.905 0.914
Cl10 0.423 0.250 0.363
Cl11 0.445 0.599 0.327
Cl12 0.445 0.901 0.327
Cl13 0.555 0.099 0.673
Cl14 0.555 0.401 0.673
Cl15 0.577 0.750 0.637
Cl16 0.669 0.095 0.086
Cl17 0.669 0.405 0.086
Cl18 0.687 0.750 0.117
Cl19 0.833 0.590 0.416
Cl20 0.833 0.910 0.416
Cl21 0.869 0.250 0.425
Cl22 0.886 0.597 0.791
Cl23 0.886 0.903 0.791
Cl24 0.911 0.250 0.869

The 12 most intense peaks (10 to 80 degrees two-theta), by intensity:
2θ (°)  I (rel.)
16.38  100
13.33  22
10.04  19
50.62  15
44.30  12
33.12  11
32.09  9
41.51  8
42.49  8
24.71  8
19.26  7
35.05  7